Structure and computed X-ray powder pattern of Tm4SnGeTe2 (a GGA-PBE-relaxed structure; Cu Kα).
Lines closer than 0.1° are merged.

Crystal structure
abc: 7.435 4.256 7.472
angles: 90.00 109.14 90.00
Element x y z (fractional)
1 Tm 0.231 0.000 0.221
2 Tm 0.246 0.500 0.771
3 Tm 0.754 0.500 0.229
4 Tm 0.769 0.000 0.779
5 Sn 0.500 0.000 0.000
6 Ge 0.000 0.500 0.000
7 Te 0.000 0.000 0.500
8 Te 0.500 0.500 0.500

Main lines, most intense first (15 to 90 degrees two-theta):
- d = 3.033 Å, 2θ 29.44, rel. 100.0, hkl 1 1 1
- d = 2.142 Å, 2θ 42.20, rel. 25.5, hkl 3 1 -1
- d = 2.150 Å, 2θ 42.03, rel. 23.6, hkl 1 1 -3
- d = 1.743 Å, 2θ 52.52, rel. 13.3, hkl 2 2 -2
- d = 2.128 Å, 2θ 42.48, rel. 12.8, hkl 0 2 0
- d = 2.160 Å, 2θ 41.81, rel. 11.8, hkl 2 0 2
- d = 1.517 Å, 2θ 61.10, rel. 11.6, hkl 2 2 2
- d = 1.355 Å, 2θ 69.36, rel. 11.1, hkl 4 2 0